The following is a calculated XRD peak list of AgAu3. It was derived from a structure optimized by DFT (GGA-PBE), using copper Kα.

Main lines, sorted by position (2θ = 10–90°):
| 2θ (°) | I/Imax |
| --- | --- |
| 37.46 | 1000 |
| 43.28 | 167 |
| 43.53 | 164 |
| 43.76 | 162 |
| 75.53 | 131 |
| 75.89 | 130 |

Structure:
Cell lengths 5.897, 5.882, 5.866 Å; angles 60.26, 60.01, 59.73 degrees
Element x y z (fractional)
Ag  0.250  0.250  0.250
Ag  0.750  0.750  0.750
Au  0.249  0.751  0.249
Au  0.250  0.250  0.750
Au  0.251  0.749  0.749
Au  0.749  0.251  0.251
Au  0.750  0.750  0.250
Au  0.751  0.249  0.751

***

The following is a calculated XRD peak list of YHgB4. It was derived from a structure optimized by DFT (GGA-PBE), using copper Kα.

Main lines, sorted by position (2θ = 10–90°):
| 2θ (°) | I/Imax |
| --- | --- |
| 11.22 | 351 |
| 22.56 | 479 |
| 32.01 | 708 |
| 34.04 | 233 |
| 39.52 | 1000 |
| 57.19 | 281 |

Structure:
Cell lengths 3.228, 3.228, 7.884 Å; angles 90.00, 90.00, 120.00 degrees
Element x y z (fractional)
Y  0.000  0.000  0.000
Hg  0.000  0.000  0.500
B  0.333  0.667  0.240
B  0.333  0.667  0.760
B  0.667  0.333  0.240
B  0.667  0.333  0.760

***

Copy entry 1 word for word.
The following is a calculated XRD peak list of AgAu3. It was derived from a structure optimized by DFT (GGA-PBE), using copper Kα.

Main lines, sorted by position (2θ = 10–90°):
| 2θ (°) | I/Imax |
| --- | --- |
| 37.46 | 1000 |
| 43.28 | 167 |
| 43.53 | 164 |
| 43.76 | 162 |
| 75.53 | 131 |
| 75.89 | 130 |

Structure:
Cell lengths 5.897, 5.882, 5.866 Å; angles 60.26, 60.01, 59.73 degrees
Element x y z (fractional)
Ag  0.250  0.250  0.250
Ag  0.750  0.750  0.750
Au  0.249  0.751  0.249
Au  0.250  0.250  0.750
Au  0.251  0.749  0.749
Au  0.749  0.251  0.251
Au  0.750  0.750  0.250
Au  0.751  0.249  0.751